Entry 1:
This entry pairs a crystal structure of Pm3CI with its calculated PXRD pattern. Radiation: Cu Ka. Structure: DFT lattice parameters and positions (PBE).
Peak positions follow from Bragg's law for the DFT cell and can differ from measured ones.

The 10 most intense peaks (2θ = 15–90°), in order of rising 2θ:
27.90 deg, d 3.198, I 41
28.10 deg, d 3.176, I 23
31.16 deg, d 2.871, I 100
31.43 deg, d 2.846, I 51
33.48 deg, d 2.676, I 52
33.60 deg, d 2.668, I 25
36.00 deg, d 2.495, I 38
42.12 deg, d 2.145, I 28
47.47 deg, d 1.915, I 39
60.59 deg, d 1.528, I 23

Structural model:
Cell: 9.534 9.534 6.616 Å, 96.79 96.79 74.91°
Fractional positions:
Pm1 0.086 0.220 0.137
Pm2 0.088 0.590 0.372
Pm3 0.220 0.086 0.637
Pm4 0.261 0.415 0.854
Pm5 0.410 0.912 0.128
Pm6 0.415 0.261 0.354
Pm7 0.585 0.739 0.646
Pm8 0.590 0.088 0.872
Pm9 0.739 0.585 0.146
Pm10 0.780 0.914 0.363
Pm11 0.912 0.410 0.628
Pm12 0.914 0.780 0.863
C1 0.163 0.334 0.495
C2 0.334 0.163 0.995
C3 0.666 0.837 0.005
C4 0.837 0.666 0.505
I1 0.241 0.759 0.750
I2 0.412 0.588 0.250
I3 0.588 0.412 0.750
I4 0.759 0.241 0.250


Entry 2:
This entry pairs a crystal structure of Pm6C2S3I with its calculated PXRD pattern. Radiation: Cu Ka. Structure: DFT lattice parameters and positions (PBE).
Peak positions follow from Bragg's law for the DFT cell and can differ from measured ones.

The 10 most intense peaks (2θ = 15–90°), in order of rising 2θ:
26.01 deg, d 3.426, I 9
27.13 deg, d 3.286, I 17
27.51 deg, d 3.242, I 31
30.79 deg, d 2.904, I 12
31.33 deg, d 2.855, I 100
36.64 deg, d 2.453, I 10
44.18 deg, d 2.050, I 13
45.61 deg, d 1.989, I 24
46.10 deg, d 1.969, I 14
56.79 deg, d 1.621, I 15

Structural model:
Cell: 8.953 8.953 8.296 Å, 100.93 100.93 25.41°
Fractional positions:
Pm1 0.025 0.025 0.293
Pm2 0.318 0.318 0.864
Pm3 0.325 0.325 0.432
Pm4 0.675 0.675 0.568
Pm5 0.682 0.682 0.136
Pm6 0.975 0.975 0.707
C1 0.172 0.172 0.338
C2 0.828 0.828 0.662
S1 0.158 0.158 0.838
S2 0.500 0.500 0.500
S3 0.842 0.842 0.162
I1 0.500 0.500 0.000


Entry 3:
This entry pairs a crystal structure of Pr4C2I5 with its calculated PXRD pattern. Radiation: Cu Ka. Structure: DFT lattice parameters and positions (PBE).
Peak positions follow from Bragg's law for the DFT cell and can differ from measured ones.

The 10 most intense peaks (2θ = 15–90°), in order of rising 2θ:
26.43 deg, d 3.372, I 25
26.95 deg, d 3.308, I 67
28.78 deg, d 3.102, I 24
29.66 deg, d 3.012, I 100
32.08 deg, d 2.790, I 18
34.24 deg, d 2.619, I 17
40.36 deg, d 2.235, I 36
40.65 deg, d 2.219, I 39
44.29 deg, d 2.045, I 19
52.62 deg, d 1.739, I 21

Structural model:
Cell: 10.397 10.397 8.906 Å, 102.95 102.95 22.69°
Fractional positions:
Pr1 0.000 0.000 0.191
Pr2 0.000 0.000 0.809
Pr3 0.349 0.349 0.919
Pr4 0.651 0.651 0.081
C1 0.465 0.465 0.982
C2 0.535 0.535 0.018
I1 0.161 0.161 0.358
I2 0.167 0.167 0.813
I3 0.500 0.500 0.500
I4 0.833 0.833 0.187
I5 0.839 0.839 0.642


Entry 4:
This entry pairs a crystal structure of Pr7C3I10 with its calculated PXRD pattern. Radiation: Cu Ka. Structure: DFT lattice parameters and positions (PBE).
Peak positions follow from Bragg's law for the DFT cell and can differ from measured ones.

The 10 most intense peaks (2θ = 15–90°), in order of rising 2θ:
26.72 deg, d 3.337, I 16
27.30 deg, d 3.267, I 100
27.51 deg, d 3.242, I 16
28.79 deg, d 3.101, I 86
29.24 deg, d 3.054, I 72
34.56 deg, d 2.595, I 17
39.88 deg, d 2.260, I 28
40.30 deg, d 2.238, I 56
40.57 deg, d 2.224, I 50
42.43 deg, d 2.130, I 22

Structural model:
Cell: 9.807 11.902 14.088 Å, 79.64 71.42 66.26°
Fractional positions:
Pr1 0.042 0.295 0.306
Pr2 0.124 0.571 0.358
Pr3 0.247 0.451 0.078
Pr4 0.335 0.741 0.100
Pr5 0.367 0.226 0.412
Pr6 0.452 0.082 0.166
Pr7 0.452 0.615 0.825
Pr8 0.548 0.385 0.175
Pr9 0.548 0.918 0.834
Pr10 0.633 0.774 0.588
Pr11 0.665 0.259 0.900
Pr12 0.753 0.549 0.922
Pr13 0.876 0.429 0.642
Pr14 0.958 0.705 0.694
C1 0.256 0.389 0.274
C2 0.332 0.277 0.229
C3 0.462 0.556 0.023
C4 0.538 0.444 0.977
C5 0.668 0.723 0.771
C6 0.744 0.611 0.726
I1 0.005 0.718 0.169
I2 0.065 0.161 0.519
I3 0.103 0.577 0.878
I4 0.145 0.026 0.226
I5 0.214 0.454 0.568
I6 0.220 0.890 0.910
I7 0.315 0.743 0.628
I8 0.357 0.195 0.958
I9 0.430 0.631 0.303
I10 0.460 0.060 0.637
I11 0.540 0.940 0.363
I12 0.570 0.369 0.697
I13 0.643 0.805 0.042
I14 0.685 0.257 0.372
I15 0.780 0.110 0.090
I16 0.786 0.546 0.432
I17 0.855 0.974 0.774
I18 0.897 0.423 0.122
I19 0.935 0.839 0.481
I20 0.995 0.282 0.831